Structure and simulated X-ray diffraction stick pattern of SrCa2Te3O9 (the GGA-PBE geometry in Alexandria; a wavelength of 1.5418 Å).
Intensities are scaled so that the largest is 100.

Largest 6 diffraction maxima, most intense first, 2θ = 10–90°:
- d 3.334, rel. 100.0, hkl 2 1 -2
- d 3.260, rel. 93.0, hkl 1 1 2
- d 4.067, rel. 33.7, hkl 1 1 1
- d 3.989, rel. 30.6, hkl 1 1 -2
- d 2.894, rel. 30.0, hkl 0 2 0
- d 4.190, rel. 29.5, hkl 2 0 0

Cell lengths 8.957, 5.788, 11.528 Å; angles 90.00, 110.66, 90.00 degrees
Space group P2_1 (No. 4)
One atom of each set of equivalent atoms:
Sr: 0.006 0.000 0.138 x2
Ca: 0.018 0.942 0.616 x2
Ca: 0.304 0.991 0.953 x2
Te: 0.257 0.497 0.174 x2
Te: 0.302 0.914 0.483 x2
Te: 0.325 0.435 0.755 x2
O: 0.081 0.421 0.220 x2
O: 0.159 0.234 0.759 x2
O: 0.160 0.148 0.489 x2
O: 0.167 0.730 0.054 x2
O: 0.178 0.681 0.520 x2
O: 0.209 0.255 0.055 x2
O: 0.233 0.705 0.797 x2
O: 0.260 0.876 0.313 x2
O: 0.464 0.329 0.912 x2